This entry pairs a crystal structure of Na3MgC2ClO6 with its simulated powder diffractogram. Radiation: a wavelength of 1.5418 Å. Structure: the PBE geometry in the Materials Project.
No peak broadening, texture or thermal motion is included.

Structure:
Unit cell a=10.118 b=10.118 c=10.118 alpha=60.00 beta=60.00 gamma=60.00
Sites, in units of the cell vectors:
Na: 0.110 0.110 0.640
Na: 0.110 0.640 0.110
Na: 0.110 0.640 0.640
Na: 0.360 0.360 0.890
Na: 0.360 0.890 0.360
Na: 0.360 0.890 0.890
Na: 0.640 0.110 0.110
Na: 0.640 0.110 0.640
Na: 0.640 0.640 0.110
Na: 0.890 0.360 0.360
Na: 0.890 0.360 0.890
Na: 0.890 0.890 0.360
Mg: 0.000 0.500 0.500
Mg: 0.500 0.000 0.500
Mg: 0.500 0.500 0.000
Mg: 0.500 0.500 0.500
C: 0.282 0.282 0.282
C: 0.282 0.282 0.653
C: 0.282 0.653 0.282
C: 0.347 0.718 0.718
C: 0.653 0.282 0.282
C: 0.718 0.347 0.718
C: 0.718 0.718 0.347
C: 0.718 0.718 0.718
Cl: 0.000 0.000 0.000
Cl: 0.000 0.000 0.500
Cl: 0.000 0.500 0.000
Cl: 0.500 0.000 0.000
O: 0.134 0.356 0.356
O: 0.134 0.356 0.655
O: 0.134 0.655 0.356
O: 0.345 0.644 0.644
O: 0.345 0.644 0.866
O: 0.345 0.866 0.644
O: 0.356 0.134 0.356
O: 0.356 0.134 0.655
O: 0.356 0.356 0.134
O: 0.356 0.356 0.655
O: 0.356 0.655 0.134
O: 0.356 0.655 0.356
O: 0.644 0.345 0.644
O: 0.644 0.345 0.866
O: 0.644 0.644 0.345
O: 0.644 0.644 0.866
O: 0.644 0.866 0.345
O: 0.644 0.866 0.644
O: 0.655 0.134 0.356
O: 0.655 0.356 0.134
O: 0.655 0.356 0.356
O: 0.866 0.345 0.644
O: 0.866 0.644 0.345
O: 0.866 0.644 0.644

Largest 10 diffraction maxima, most intense first, 2θ = 5–70°:
two_theta, I/Imax
35.49, 1000
10.71, 716
32.52, 652
51.07, 492
41.88, 341
56.03, 289
17.53, 264
24.89, 212
63.73, 196
27.17, 190

This entry pairs a crystal structure of Zn2Hg2Se2O9 with its simulated powder diffractogram. Radiation: a wavelength of 1.5418 Å. Structure: the PBE geometry in the Materials Project.
No peak broadening, texture or thermal motion is included.

Structure:
Unit cell a=9.086 b=9.086 c=4.944 alpha=93.30 beta=93.30 gamma=41.35
Sites, in units of the cell vectors:
Zn: 0.248 0.752 0.000
Zn: 0.752 0.248 0.000
Hg: 0.672 0.672 0.969
Hg: 0.823 0.823 0.041
Se: 0.111 0.111 0.480
Se: 0.383 0.383 0.536
O: 0.045 0.045 0.723
O: 0.184 0.615 0.728
O: 0.202 0.202 0.622
O: 0.312 0.880 0.286
O: 0.440 0.440 0.265
O: 0.548 0.548 0.863
O: 0.615 0.184 0.728
O: 0.880 0.312 0.286
O: 0.947 0.947 0.130

Largest 10 diffraction maxima, most intense first, 2θ = 5–70°:
two_theta, I/Imax
23.09, 1000
23.59, 556
14.76, 446
17.98, 411
34.65, 320
29.78, 300
39.75, 285
37.62, 266
20.94, 234
46.45, 217

This entry pairs a crystal structure of BiSbTe2 with its simulated powder diffractogram. Radiation: a wavelength of 1.5418 Å. Structure: the PBE geometry in the Materials Project.
No peak broadening, texture or thermal motion is included.

Structure:
Unit cell a=4.377 b=4.377 c=25.180 alpha=90.00 beta=90.00 gamma=120.00
Sites, in units of the cell vectors:
Bi: 0.000 0.000 0.000
Bi: 0.000 0.000 0.253
Bi: 0.333 0.667 0.595
Sb: 0.000 0.000 0.418
Sb: 0.000 0.000 0.835
Sb: 0.667 0.333 0.660
Te: 0.333 0.667 0.070
Te: 0.333 0.667 0.339
Te: 0.333 0.667 0.768
Te: 0.667 0.333 0.183
Te: 0.667 0.333 0.485
Te: 0.667 0.333 0.916

Largest 10 diffraction maxima, most intense first, 2θ = 5–70°:
two_theta, I/Imax
27.47, 1000
41.26, 826
34.37, 802
29.50, 551
61.20, 333
24.53, 251
23.74, 248
54.74, 226
37.13, 222
43.12, 215

This entry pairs a crystal structure of CaBi3P3O13 with its simulated powder diffractogram. Radiation: a wavelength of 1.5418 Å. Structure: the PBE geometry in the Materials Project.
No peak broadening, texture or thermal motion is included.

Structure:
Unit cell a=8.472 b=7.131 c=11.112 alpha=90.00 beta=100.01 gamma=90.00
Sites, in units of the cell vectors:
Ca: 0.118 0.250 0.182
Ca: 0.882 0.750 0.818
Bi: 0.143 0.250 0.778
Bi: 0.297 0.750 0.440
Bi: 0.500 0.000 0.000
Bi: 0.500 0.500 0.000
Bi: 0.703 0.250 0.560
Bi: 0.857 0.750 0.222
P: 0.178 0.750 0.109
P: 0.228 0.750 0.766
P: 0.276 0.250 0.485
P: 0.724 0.750 0.515
P: 0.772 0.250 0.234
P: 0.822 0.250 0.891
O: 0.006 0.750 0.033
O: 0.119 0.581 0.785
O: 0.119 0.919 0.785
O: 0.150 0.750 0.246
O: 0.151 0.250 0.570
O: 0.255 0.078 0.397
O: 0.255 0.422 0.397
O: 0.269 0.565 0.092
O: 0.269 0.935 0.092
O: 0.282 0.750 0.642
O: 0.374 0.250 0.897
O: 0.385 0.750 0.865
O: 0.445 0.250 0.570
O: 0.555 0.750 0.430
O: 0.615 0.250 0.135
O: 0.626 0.750 0.103
O: 0.718 0.250 0.358
O: 0.731 0.065 0.908
O: 0.731 0.435 0.908
O: 0.745 0.578 0.603
O: 0.745 0.922 0.603
O: 0.849 0.750 0.430
O: 0.850 0.250 0.754
O: 0.881 0.081 0.215
O: 0.881 0.419 0.215
O: 0.994 0.250 0.967

Largest 10 diffraction maxima, most intense first, 2θ = 5–70°:
two_theta, I/Imax
17.77, 1000
24.12, 502
28.36, 440
14.83, 438
28.96, 344
35.18, 338
24.40, 311
26.29, 305
33.06, 305
17.42, 276

This entry pairs a crystal structure of ZrScTc2 with its simulated powder diffractogram. Radiation: a wavelength of 1.5418 Å. Structure: the PBE geometry in the Materials Project.
No peak broadening, texture or thermal motion is included.

Structure:
Unit cell a=4.629 b=4.629 c=4.629 alpha=60.00 beta=60.00 gamma=60.00
Sites, in units of the cell vectors:
Zr: 0.000 0.000 0.000
Sc: 0.500 0.500 0.500
Tc: 0.250 0.250 0.250
Tc: 0.750 0.750 0.750

Largest 8 diffraction maxima, most intense first, 2θ = 5–70°:
two_theta, I/Imax
38.92, 1000
56.21, 165
23.54, 50
27.25, 45
45.98, 26
63.57, 18
48.16, 13
61.78, 11